Entry 1:
Structure and theoretical powder XRD pattern of Np2Zn16Ag (a PBE-relaxed structure; a wavelength of 1.5418 Å).
Neutral-atom scattering factors, no anomalous dispersion.

Most intense lines, 10° ≤ 2θ ≤ 90°, low angle first:
28.3°, d 3.153, I 43.2
34.4°, d 2.603, I 51.4
35.6°, d 2.524, I 33.7
40.0°, d 2.255, I 65.7
40.2°, d 2.242, I 100.0
41.0°, d 2.204, I 52.2

Structure:
```
data_Np2Zn16Ag
_cell_length_a 6.823
_cell_length_b 6.823
_cell_length_c 6.823
_cell_angle_alpha 82.74
_cell_angle_beta 82.74
_cell_angle_gamma 82.74
_symmetry_space_group_name_H-M 'P 1'
_symmetry_Int_Tables_number 1
_symmetry_space_group_name_Hall 'P 1'
loop_
_atom_site_label
_atom_site_fract_x
_atom_site_fract_y
_atom_site_fract_z
Np1 0.000 0.000 0.000
Np2 0.319 0.319 0.319
Zn1 0.013 0.013 0.500
Zn2 0.013 0.500 0.013
Zn3 0.161 0.659 0.659
Zn4 0.306 0.306 0.820
Zn5 0.306 0.820 0.306
Zn6 0.363 0.660 0.957
Zn7 0.363 0.957 0.660
Zn8 0.500 0.013 0.013
Zn9 0.551 0.551 0.551
Zn10 0.659 0.161 0.659
Zn11 0.659 0.659 0.161
Zn12 0.660 0.363 0.957
Zn13 0.660 0.957 0.363
Zn14 0.820 0.306 0.306
Zn15 0.957 0.363 0.660
Zn16 0.957 0.660 0.363
Ag1 0.758 0.758 0.758
```

***

Entry 2:
Structure and theoretical powder XRD pattern of Ag3O4 (a PBE-relaxed structure; a wavelength of 1.5418 Å).
Neutral-atom scattering factors, no anomalous dispersion.

Most intense lines, 10° ≤ 2θ ≤ 90°, low angle first:
26.2°, d 3.399, I 73.0
32.1°, d 2.785, I 81.3
32.9°, d 2.719, I 100.0
34.0°, d 2.640, I 44.6
36.7°, d 2.449, I 29.2
37.9°, d 2.372, I 45.8

Structure:
```
data_Ag3O4
_cell_length_a 3.768
_cell_length_b 9.352
_cell_length_c 5.744
_cell_angle_alpha 90.00
_cell_angle_beta 104.44
_cell_angle_gamma 90.00
_symmetry_space_group_name_H-M 'P 1'
_symmetry_Int_Tables_number 1
_symmetry_space_group_name_Hall 'P 1'
loop_
_atom_site_label
_atom_site_fract_x
_atom_site_fract_y
_atom_site_fract_z
Ag1 0.000 0.000 0.000
Ag2 0.000 0.500 0.500
Ag3 0.294 0.142 0.551
Ag4 0.294 0.358 0.051
Ag5 0.706 0.642 0.949
Ag6 0.706 0.858 0.449
O1 0.052 0.192 0.831
O2 0.052 0.308 0.331
O3 0.469 0.043 0.271
O4 0.469 0.457 0.771
O5 0.531 0.543 0.229
O6 0.531 0.957 0.729
O7 0.948 0.692 0.669
O8 0.948 0.808 0.169
```

***

Entry 3:
Structure and theoretical powder XRD pattern of AgO (a PBE-relaxed structure; a wavelength of 1.5418 Å).
Neutral-atom scattering factors, no anomalous dispersion.

Most intense lines, 10° ≤ 2θ ≤ 90°, low angle first:
32.0°, d 2.794, I 100.0
36.6°, d 2.457, I 49.1
38.3°, d 2.350, I 22.0
52.7°, d 1.737, I 15.1
54.0°, d 1.698, I 28.3
63.0°, d 1.475, I 32.5

Structure:
```
data_AgO
_cell_length_a 6.800
_cell_length_b 6.800
_cell_length_c 6.800
_cell_angle_alpha 118.55
_cell_angle_beta 118.55
_cell_angle_gamma 92.54
_symmetry_space_group_name_H-M 'P 1'
_symmetry_Int_Tables_number 1
_symmetry_space_group_name_Hall 'P 1'
loop_
_atom_site_label
_atom_site_fract_x
_atom_site_fract_y
_atom_site_fract_z
Ag1 0.000 0.000 0.000
Ag2 0.000 0.000 0.500
Ag3 0.000 0.500 0.000
Ag4 0.000 0.500 0.500
Ag5 0.500 0.000 0.000
Ag6 0.500 0.000 0.500
Ag7 0.500 0.500 0.000
Ag8 0.500 0.500 0.500
O1 0.204 0.282 0.409
O2 0.218 0.127 0.922
O3 0.295 0.704 0.422
O4 0.373 0.795 0.091
O5 0.627 0.205 0.909
O6 0.705 0.296 0.578
O7 0.782 0.873 0.078
O8 0.796 0.718 0.591
```

***

Entry 4:
Structure and theoretical powder XRD pattern of Ag3O2 (a PBE-relaxed structure; a wavelength of 1.5418 Å).
Neutral-atom scattering factors, no anomalous dispersion.

Most intense lines, 10° ≤ 2θ ≤ 90°, low angle first:
33.5°, d 2.673, I 100.0
33.8°, d 2.654, I 94.6
38.7°, d 2.328, I 93.6
39.8°, d 2.266, I 43.3
56.7°, d 1.624, I 52.4
66.6°, d 1.404, I 24.4

Structure:
```
data_Ag3O2
_cell_length_a 10.914
_cell_length_b 10.455
_cell_length_c 5.591
_cell_angle_alpha 79.43
_cell_angle_beta 70.33
_cell_angle_gamma 30.24
_symmetry_space_group_name_H-M 'P 1'
_symmetry_Int_Tables_number 1
_symmetry_space_group_name_Hall 'P 1'
loop_
_atom_site_label
_atom_site_fract_x
_atom_site_fract_y
_atom_site_fract_z
Ag1 0.026 0.546 0.196
Ag2 0.101 0.649 0.649
Ag3 0.196 0.732 0.026
Ag4 0.268 0.804 0.454
Ag5 0.351 0.899 0.899
Ag6 0.454 0.974 0.268
Ag7 0.546 0.026 0.732
Ag8 0.649 0.101 0.101
Ag9 0.732 0.196 0.546
Ag10 0.804 0.268 0.974
Ag11 0.899 0.351 0.351
Ag12 0.974 0.454 0.804
O1 0.107 0.107 0.643
O2 0.282 0.282 0.468
O3 0.357 0.357 0.893
O4 0.468 0.468 0.282
O5 0.532 0.532 0.718
O6 0.643 0.643 0.107
O7 0.718 0.718 0.532
O8 0.893 0.893 0.357
```

***

Entry 5:
Structure and theoretical powder XRD pattern of AgO3 (a PBE-relaxed structure; a wavelength of 1.5418 Å).
Neutral-atom scattering factors, no anomalous dispersion.

Most intense lines, 10° ≤ 2θ ≤ 90°, low angle first:
25.6°, d 3.478, I 100.0
29.5°, d 3.025, I 80.4
29.9°, d 2.986, I 48.3
42.3°, d 2.139, I 30.9
42.5°, d 2.125, I 58.8
50.1°, d 1.822, I 55.0

Structure:
```
data_AgO3
_cell_length_a 6.046
_cell_length_b 6.054
_cell_length_c 5.973
_cell_angle_alpha 90.00
_cell_angle_beta 90.00
_cell_angle_gamma 90.00
_symmetry_space_group_name_H-M 'P 1'
_symmetry_Int_Tables_number 1
_symmetry_space_group_name_Hall 'P 1'
loop_
_atom_site_label
_atom_site_fract_x
_atom_site_fract_y
_atom_site_fract_z
Ag1 0.000 0.000 0.000
Ag2 0.000 0.500 0.500
Ag3 0.500 0.000 0.500
Ag4 0.500 0.500 0.000
O1 0.000 0.000 0.525
O2 0.000 0.500 0.025
O3 0.132 0.136 0.395
O4 0.132 0.636 0.895
O5 0.368 0.136 0.895
O6 0.368 0.636 0.395
O7 0.500 0.000 0.025
O8 0.500 0.500 0.525
O9 0.632 0.364 0.395
O10 0.632 0.864 0.895
O11 0.868 0.364 0.895
O12 0.868 0.864 0.395
```

***

Entry 6:
Structure and theoretical powder XRD pattern of Ag3O (a PBE-relaxed structure; a wavelength of 1.5418 Å).
Neutral-atom scattering factors, no anomalous dispersion.

Most intense lines, 10° ≤ 2θ ≤ 90°, low angle first:
33.2°, d 2.700, I 19.3
35.5°, d 2.529, I 21.6
37.8°, d 2.382, I 100.0
49.4°, d 1.846, I 21.5
59.3°, d 1.559, I 17.0
65.2°, d 1.430, I 14.8

Structure:
```
data_Ag3O
_cell_length_a 5.399
_cell_length_b 5.399
_cell_length_c 5.058
_cell_angle_alpha 90.00
_cell_angle_beta 90.00
_cell_angle_gamma 120.00
_symmetry_space_group_name_H-M 'P 1'
_symmetry_Int_Tables_number 1
_symmetry_space_group_name_Hall 'P 1'
loop_
_atom_site_label
_atom_site_fract_x
_atom_site_fract_y
_atom_site_fract_z
Ag1 0.000 0.312 0.221
Ag2 0.000 0.688 0.779
Ag3 0.312 0.000 0.221
Ag4 0.312 0.312 0.779
Ag5 0.688 0.000 0.779
Ag6 0.688 0.688 0.221
O1 0.333 0.667 0.500
O2 0.667 0.333 0.500
```

***

Entry 7:
Structure and theoretical powder XRD pattern of Ag2OsO5 (a PBE-relaxed structure; a wavelength of 1.5418 Å).
Neutral-atom scattering factors, no anomalous dispersion.

Most intense lines, 10° ≤ 2θ ≤ 90°, low angle first:
19.2°, d 4.631, I 100.0
26.3°, d 3.392, I 41.4
28.2°, d 3.169, I 65.3
32.6°, d 2.750, I 18.4
38.3°, d 2.349, I 22.2
38.9°, d 2.316, I 28.9

Structure:
```
data_Ag2OsO5
_cell_length_a 5.795
_cell_length_b 5.471
_cell_length_c 6.363
_cell_angle_alpha 58.05
_cell_angle_beta 53.23
_cell_angle_gamma 68.72
_symmetry_space_group_name_H-M 'P 1'
_symmetry_Int_Tables_number 1
_symmetry_space_group_name_Hall 'P 1'
loop_
_atom_site_label
_atom_site_fract_x
_atom_site_fract_y
_atom_site_fract_z
Ag1 0.000 0.000 0.500
Ag2 0.500 0.500 0.000
Os1 0.398 0.398 0.602
O1 0.145 0.145 0.855
O2 0.277 0.680 0.723
O3 0.298 0.684 0.316
O4 0.680 0.277 0.320
O5 0.684 0.298 0.702
```

***

Entry 8:
Structure and theoretical powder XRD pattern of AgOs2O6 (a PBE-relaxed structure; a wavelength of 1.5418 Å).
Neutral-atom scattering factors, no anomalous dispersion.

Most intense lines, 10° ≤ 2θ ≤ 90°, low angle first:
15.0°, d 5.896, I 68.2
28.9°, d 3.084, I 34.4
30.3°, d 2.948, I 100.0
35.1°, d 2.559, I 24.7
50.6°, d 1.804, I 22.2
60.0°, d 1.542, I 23.6

Structure:
```
data_AgOs2O6
_cell_length_a 7.214
_cell_length_b 7.214
_cell_length_c 7.214
_cell_angle_alpha 119.78
_cell_angle_beta 90.37
_cell_angle_gamma 119.80
_symmetry_space_group_name_H-M 'P 1'
_symmetry_Int_Tables_number 1
_symmetry_space_group_name_Hall 'P 1'
loop_
_atom_site_label
_atom_site_fract_x
_atom_site_fract_y
_atom_site_fract_z
Ag1 0.202 0.250 0.452
Ag2 0.798 0.750 0.548
Os1 0.315 0.315 0.000
Os2 0.315 0.815 0.500
Os3 0.322 0.820 0.002
Os4 0.818 0.320 0.998
O1 0.009 0.566 0.943
O2 0.233 0.054 0.679
O3 0.239 0.065 0.077
O4 0.239 0.662 0.674
O5 0.373 0.563 0.942
O6 0.373 0.931 0.310
O7 0.375 0.554 0.321
O8 0.621 0.063 0.690
O9 0.621 0.431 0.058
O10 0.624 0.066 0.057
O11 0.988 0.162 0.923
O12 0.988 0.565 0.326
```